Computed powder X-ray diffraction pattern
Compound: Cs2TlGa2
Radiation: Cu Kα, 1.54184 Å
Structure: a cell relaxed with PBE
Intensities are scaled so that the largest is 100.

Top 10 peaks for 2θ = 10–80°, most intense first:
| Position (°2θ) | intensity |
| --- | --- |
| 27.2 | 100 |
| 22.9 | 27 |
| 11.8 | 21 |
| 34.3 | 21 |
| 50.5 | 18 |
| 41.6 | 17 |
| 43.0 | 16 |
| 36.4 | 14 |
| 20.5 | 13 |
| 30.9 | 12 |

Structure:
Cell lengths 9.278, 9.278, 8.194 Å; angles 98.06, 98.06, 138.76 degrees
Atoms (fractional coordinates):
Cs (0.013, 0.297, 0.310)
Cs (0.297, 0.013, 0.310)
Cs (0.703, 0.987, 0.690)
Cs (0.987, 0.703, 0.690)
Tl (0.356, 0.644, 0.000)
Tl (0.644, 0.356, 0.000)
Ga (0.203, 0.203, 0.000)
Ga (0.386, 0.386, 0.771)
Ga (0.614, 0.614, 0.229)
Ga (0.797, 0.797, 0.000)